No. 1
ZnCo2O4: computed powder diffraction line list (Cu Kα), based on the GGA+U geometry in the Materials Project.

Largest 10 diffraction maxima, by angle, 2θ = 5–70°:
d [Å]	Rel. int.
4.865	27
2.990	46
2.569	88
2.530	100
2.522	81
2.090	37
1.644	26
1.612	22
1.609	24
1.495	80

Atomic structure:
```
ZnCo2O4
1.0
-2.9472 2.9646 4.2795
2.9472 -2.9646 4.2795
2.9472 2.9646 -4.2795
Zn Co O
2 4 8
direct
0.0000 0.0000 0.0000 Zn
0.5000 0.0000 0.5000 Zn
0.0000 0.0000 0.5000 Co
0.0000 0.5000 0.0000 Co
0.3686 0.6186 0.7500 Co
0.6314 0.3814 0.2500 Co
0.2335 0.2299 0.4964 O
0.2335 0.7371 0.0036 O
0.2383 0.2497 0.9886 O
0.2389 0.7503 0.4886 O
0.7611 0.2497 0.5114 O
0.7617 0.7503 0.0114 O
0.7665 0.2629 0.9964 O
0.7665 0.7701 0.5036 O
```

No. 2
ZnCo2O4: computed powder diffraction line list (Cu Kα), based on the GGA+U geometry in the Materials Project.

Largest 10 diffraction maxima, by angle, 2θ = 5–70°:
d [Å]	Rel. int.
2.993	19
2.977	23
2.555	35
2.543	100
2.433	10
2.111	22
1.624	20
1.622	17
1.497	29
1.488	29

Atomic structure:
```
ZnCo2O4
1.0
5.9531 0.0000 0.0000
-2.9765 5.1555 0.0000
0.0000 0.0000 14.7061
Zn Co O
6 12 24
direct
0.0000 0.0000 0.0000 Zn
0.0000 0.0000 0.2476 Zn
0.0000 0.0000 0.6246 Zn
0.3333 0.6667 0.5814 Zn
0.6667 0.3333 0.2906 Zn
0.6667 0.3333 0.9155 Zn
0.1665 0.3329 0.7918 Co
0.1665 0.8335 0.7918 Co
0.3318 0.1659 0.4580 Co
0.3333 0.6667 0.3351 Co
0.3333 0.6667 0.9604 Co
0.5007 0.0013 0.1244 Co
0.5007 0.4993 0.1244 Co
0.6667 0.3333 0.6681 Co
0.6671 0.8335 0.7918 Co
0.8341 0.1659 0.4580 Co
0.8341 0.6682 0.4580 Co
0.9987 0.4993 0.1244 Co
0.0000 0.0000 0.3824 O
0.0000 0.0000 0.8653 O
0.0358 0.5179 0.8737 O
0.1550 0.3101 0.5320 O
0.1550 0.8450 0.5320 O
0.1804 0.3608 0.0458 O
0.1804 0.8196 0.0458 O
0.3115 0.1558 0.7177 O
0.3333 0.6667 0.2000 O
0.3333 0.6667 0.7177 O
0.3520 0.1760 0.1966 O
0.4821 0.5179 0.8737 O
0.4821 0.9642 0.8737 O
0.5101 0.0201 0.3829 O
0.5101 0.4899 0.3829 O
0.6392 0.8196 0.0458 O
0.6667 0.3333 0.0496 O
0.6667 0.3333 0.5338 O
0.6899 0.8450 0.5320 O
0.8240 0.1760 0.1966 O
0.8240 0.6480 0.1966 O
0.8442 0.1558 0.7177 O
0.8442 0.6885 0.7177 O
0.9799 0.4899 0.3829 O
```

No. 3
ZnCo5O7: computed powder diffraction line list (Cu Kα), based on the GGA+U geometry in the Materials Project.

Largest 10 diffraction maxima, by angle, 2θ = 5–70°:
d [Å]	Rel. int.
2.819	40
2.509	55
2.480	100
2.407	27
2.343	44
2.203	30
2.100	100
2.027	65
1.583	36
1.465	29

Atomic structure:
```
ZnCo5O7
1.0
1.4545 -4.8622 0.0000
1.4545 4.8622 0.0000
0.0000 0.0000 17.3029
Zn Co O
2 10 14
direct
0.1913 0.8087 0.7500 Zn
0.8087 0.1913 0.2500 Zn
0.0000 0.0000 0.0000 Co
0.0000 0.0000 0.5000 Co
0.2828 0.7172 0.0772 Co
0.2828 0.7172 0.4228 Co
0.4483 0.5517 0.6518 Co
0.4483 0.5517 0.8482 Co
0.5517 0.4483 0.1518 Co
0.5517 0.4483 0.3482 Co
0.7172 0.2828 0.5772 Co
0.7172 0.2828 0.9228 Co
0.0702 0.9298 0.6139 O
0.0702 0.9298 0.8861 O
0.1780 0.8220 0.1745 O
0.1780 0.8220 0.3255 O
0.3618 0.6382 0.5411 O
0.3618 0.6382 0.9589 O
0.4579 0.5421 0.2500 O
0.5421 0.4579 0.7500 O
0.6382 0.3618 0.0411 O
0.6382 0.3618 0.4589 O
0.8220 0.1780 0.6745 O
0.8220 0.1780 0.8255 O
0.9298 0.0702 0.1139 O
0.9298 0.0702 0.3861 O
```